1.
Starting from a GGA-PBE-relaxed structure, the X-ray diffraction stick pattern of LiCu2BiO4 was calculated for Cu Kα.
Kinematic intensities with the Lorentz-polarization factor, no thermal factor.

Cell and atoms:
a b c (Å): 6.923 6.923 4.285
angles (deg): 90.00 90.00 90.00
Positions (direct):
Li 0.250 0.750 0.000
Li 0.750 0.250 0.000
Cu 0.000 0.000 0.500
Cu 0.000 0.500 0.500
Cu 0.500 0.000 0.500
Cu 0.500 0.500 0.500
Bi 0.250 0.250 0.018
Bi 0.750 0.750 0.982
O 0.021 0.750 0.710
O 0.250 0.521 0.290
O 0.250 0.979 0.290
O 0.479 0.750 0.710
O 0.521 0.250 0.290
O 0.750 0.021 0.710
O 0.750 0.479 0.710
O 0.979 0.250 0.290

Peak list (6 most intense, 5° ≤ 2θ ≤ 70°, in order of rising 2θ)
18.12 deg, I 64.3; 27.67 deg, I 53.4; 33.27 deg, I 100.0; 36.72 deg, I 26.0; 57.14 deg, I 26.5; 63.94 deg, I 30.0

=====

2.
Starting from a GGA-PBE-relaxed structure, the X-ray diffraction stick pattern of Li2CuBiP2O8 was calculated for Cu Kα.
Kinematic intensities with the Lorentz-polarization factor, no thermal factor.

Cell and atoms:
a b c (Å): 4.837 6.423 11.002
angles (deg): 90.00 90.28 90.00
Positions (direct):
Li 0.000 0.000 0.000
Li 0.000 0.500 0.000
Li 0.500 0.000 0.500
Li 0.500 0.500 0.500
Cu 0.030 0.250 0.295
Cu 0.970 0.750 0.705
Bi 0.479 0.250 0.781
Bi 0.521 0.750 0.219
P 0.088 0.750 0.416
P 0.397 0.750 0.914
P 0.603 0.250 0.086
P 0.912 0.250 0.584
O 0.206 0.556 0.342
O 0.206 0.944 0.342
O 0.225 0.750 0.543
O 0.231 0.250 0.581
O 0.253 0.750 0.044
O 0.268 0.556 0.849
O 0.268 0.944 0.849
O 0.290 0.250 0.079
O 0.710 0.750 0.921
O 0.732 0.056 0.151
O 0.732 0.444 0.151
O 0.747 0.250 0.956
O 0.769 0.750 0.419
O 0.775 0.250 0.457
O 0.794 0.056 0.658
O 0.794 0.444 0.658

Peak list (6 most intense, 5° ≤ 2θ ≤ 70°, in order of rising 2θ)
15.98 deg, I 43.1; 16.11 deg, I 37.8; 24.42 deg, I 100.0; 27.78 deg, I 39.8; 33.63 deg, I 29.0; 33.76 deg, I 30.3

=====

3.
Starting from a GGA-PBE-relaxed structure, the X-ray diffraction stick pattern of Mg14CuBi was calculated for Cu Kα.
Kinematic intensities with the Lorentz-polarization factor, no thermal factor.

Cell and atoms:
a b c (Å): 6.314 6.314 10.387
angles (deg): 90.00 90.00 120.00
Positions (direct):
Mg 0.000 0.000 0.249
Mg 0.000 0.000 0.751
Mg 0.002 0.501 0.231
Mg 0.002 0.501 0.769
Mg 0.328 0.164 0.000
Mg 0.334 0.167 0.500
Mg 0.499 0.501 0.231
Mg 0.499 0.501 0.769
Mg 0.499 0.998 0.231
Mg 0.499 0.998 0.769
Mg 0.833 0.167 0.500
Mg 0.833 0.666 0.500
Mg 0.836 0.164 0.000
Mg 0.836 0.672 0.000
Cu 0.333 0.667 0.000
Bi 0.333 0.667 0.500

Peak list (6 most intense, 5° ≤ 2θ ≤ 70°, in order of rising 2θ)
16.21 deg, I 59.7; 18.34 deg, I 31.6; 23.63 deg, I 50.1; 32.75 deg, I 31.3; 34.54 deg, I 25.0; 37.16 deg, I 100.0

=====

4.
Starting from a GGA-PBE-relaxed structure, the X-ray diffraction stick pattern of Mg14CuBi was calculated for Cu Kα.
Kinematic intensities with the Lorentz-polarization factor, no thermal factor.

Cell and atoms:
a b c (Å): 10.401 6.319 6.319
angles (deg): 59.92 90.00 90.00
Positions (direct):
Mg 0.000 0.000 0.000
Mg 0.000 0.002 0.500
Mg 0.000 0.500 0.002
Mg 0.000 0.500 0.500
Mg 0.243 0.669 0.669
Mg 0.252 0.160 0.674
Mg 0.252 0.674 0.160
Mg 0.254 0.164 0.164
Mg 0.500 0.500 0.999
Mg 0.500 0.999 0.500
Mg 0.746 0.164 0.164
Mg 0.748 0.160 0.674
Mg 0.748 0.674 0.160
Mg 0.757 0.669 0.669
Cu 0.500 0.000 0.000
Bi 0.500 0.502 0.502

Peak list (6 most intense, 5° ≤ 2θ ≤ 70°, in order of rising 2θ)
8.50 deg, I 75.5; 16.20 deg, I 32.7; 18.32 deg, I 51.2; 23.60 deg, I 29.8; 32.74 deg, I 31.0; 37.14 deg, I 100.0

=====

5.
Starting from a GGA-PBE-relaxed structure, the X-ray diffraction stick pattern of Mg14CuBiO16 was calculated for Cu Kα.
Kinematic intensities with the Lorentz-polarization factor, no thermal factor.

Cell and atoms:
a b c (Å): 4.376 8.701 8.735
angles (deg): 90.00 90.00 90.00
Positions (direct):
Mg 0.000 0.000 0.000
Mg 0.000 0.237 0.245
Mg 0.000 0.237 0.755
Mg 0.000 0.500 0.000
Mg 0.000 0.763 0.245
Mg 0.000 0.763 0.755
Mg 0.500 0.000 0.251
Mg 0.500 0.000 0.749
Mg 0.500 0.230 0.500
Mg 0.500 0.246 0.000
Mg 0.500 0.500 0.235
Mg 0.500 0.500 0.765
Mg 0.500 0.754 0.000
Mg 0.500 0.770 0.500
Cu 0.000 0.000 0.500
Bi 0.000 0.500 0.500
O 0.000 0.000 0.229
O 0.000 0.000 0.771
O 0.000 0.237 0.500
O 0.000 0.252 0.000
O 0.000 0.500 0.232
O 0.000 0.500 0.768
O 0.000 0.748 0.000
O 0.000 0.763 0.500
O 0.500 0.000 0.000
O 0.500 0.000 0.500
O 0.500 0.252 0.251
O 0.500 0.252 0.749
O 0.500 0.500 0.000
O 0.500 0.500 0.500
O 0.500 0.748 0.251
O 0.500 0.748 0.749

Peak list (6 most intense, 5° ≤ 2θ ≤ 70°, in order of rising 2θ)
10.14 deg, I 95.9; 28.93 deg, I 50.9; 30.72 deg, I 51.8; 35.63 deg, I 52.9; 41.31 deg, I 100.0; 60.00 deg, I 57.3

=====

6.
Starting from a GGA-PBE-relaxed structure, the X-ray diffraction stick pattern of MgCu2Bi2O8 was calculated for Cu Kα.
Kinematic intensities with the Lorentz-polarization factor, no thermal factor.

Cell and atoms:
a b c (Å): 6.430 8.571 13.771
angles (deg): 90.00 93.36 90.00
Positions (direct):
Mg 0.105 0.151 0.049
Mg 0.105 0.349 0.549
Mg 0.895 0.651 0.451
Mg 0.895 0.849 0.951
Cu 0.249 0.697 0.607
Cu 0.249 0.803 0.107
Cu 0.356 0.066 0.614
Cu 0.356 0.434 0.114
Cu 0.644 0.566 0.886
Cu 0.644 0.934 0.386
Cu 0.751 0.197 0.893
Cu 0.751 0.303 0.393
Bi 0.099 0.060 0.333
Bi 0.099 0.440 0.833
Bi 0.366 0.596 0.363
Bi 0.366 0.904 0.863
Bi 0.634 0.096 0.137
Bi 0.634 0.404 0.637
Bi 0.901 0.560 0.167
Bi 0.901 0.940 0.667
O 0.037 0.236 0.909
O 0.037 0.264 0.409
O 0.077 0.123 0.609
O 0.077 0.377 0.109
O 0.108 0.044 0.187
O 0.108 0.456 0.687
O 0.198 0.567 0.496
O 0.198 0.933 0.996
O 0.281 0.617 0.180
O 0.281 0.883 0.680
O 0.362 0.540 0.904
O 0.362 0.960 0.404
O 0.394 0.236 0.064
O 0.394 0.264 0.564
O 0.487 0.132 0.858
O 0.487 0.368 0.358
O 0.513 0.632 0.642
O 0.513 0.868 0.142
O 0.606 0.736 0.436
O 0.606 0.764 0.936
O 0.638 0.040 0.596
O 0.638 0.460 0.096
O 0.719 0.117 0.320
O 0.719 0.383 0.820
O 0.802 0.067 0.004
O 0.802 0.433 0.504
O 0.892 0.544 0.313
O 0.892 0.956 0.813
O 0.923 0.623 0.891
O 0.923 0.877 0.391
O 0.963 0.736 0.591
O 0.963 0.764 0.091

Peak list (6 most intense, 5° ≤ 2θ ≤ 70°, in order of rising 2θ)
21.72 deg, I 60.9; 25.61 deg, I 46.3; 25.92 deg, I 100.0; 26.67 deg, I 86.2; 30.08 deg, I 54.0; 30.80 deg, I 87.1

=====

7.
Starting from a GGA-PBE-relaxed structure, the X-ray diffraction stick pattern of MgCu2Bi4O8 was calculated for Cu Kα.
Kinematic intensities with the Lorentz-polarization factor, no thermal factor.

Cell and atoms:
a b c (Å): 6.975 6.975 8.945
angles (deg): 128.70 128.70 51.41
Positions (direct):
Mg 0.000 0.000 0.000
Cu 0.498 0.502 0.500
Cu 0.998 0.002 0.500
Bi 0.154 0.478 0.997
Bi 0.522 0.846 0.003
Bi 0.556 0.057 0.614
Bi 0.943 0.444 0.386
O 0.103 0.086 0.798
O 0.143 0.240 0.601
O 0.310 0.290 0.205
O 0.358 0.458 0.602
O 0.542 0.642 0.398
O 0.710 0.690 0.795
O 0.760 0.857 0.399
O 0.914 0.897 0.202

Peak list (6 most intense, 5° ≤ 2θ ≤ 70°, in order of rising 2θ)
19.62 deg, I 68.0; 26.35 deg, I 76.2; 26.49 deg, I 82.6; 26.73 deg, I 84.8; 26.86 deg, I 88.0; 44.12 deg, I 100.0

=====

8.
Starting from a GGA-PBE-relaxed structure, the X-ray diffraction stick pattern of MgCu3Bi4O12 was calculated for Cu Kα.
Kinematic intensities with the Lorentz-polarization factor, no thermal factor.

Cell and atoms:
a b c (Å): 7.096 7.096 7.096
angles (deg): 109.47 109.47 109.47
Positions (direct):
Mg 0.000 0.000 0.000
Cu 0.000 0.500 0.500
Cu 0.500 0.000 0.500
Cu 0.500 0.500 0.000
Bi 0.000 0.000 0.500
Bi 0.000 0.500 0.000
Bi 0.500 0.000 0.000
Bi 0.500 0.500 0.500
O 0.154 0.319 0.473
O 0.154 0.681 0.834
O 0.166 0.846 0.319
O 0.319 0.166 0.846
O 0.319 0.473 0.154
O 0.473 0.154 0.319
O 0.527 0.846 0.681
O 0.681 0.527 0.846
O 0.681 0.834 0.154
O 0.834 0.154 0.681
O 0.846 0.319 0.166
O 0.846 0.681 0.527

Peak list (6 most intense, 5° ≤ 2θ ≤ 70°, in order of rising 2θ)
21.69 deg, I 39.8; 30.87 deg, I 100.0; 44.21 deg, I 21.2; 49.76 deg, I 22.1; 54.89 deg, I 48.0; 64.31 deg, I 12.8